(1)
The following is a theoretical powder diffractogram of SrCuSiPt6. It was derived from a GGA-PBE-relaxed structure, using Cu Kα (λ = 1.5418 Å).

Crystal structure
abc: 8.4535 8.4535 8.4535
angles: 141.03 112.53 80.76
Sites, in units of the cell vectors:
Sr: 0.4248 0.1748 0.2500
Sr: 0.5752 0.8252 0.7500
Cu: 0.0000 0.0000 0.5000
Cu: 0.0000 0.5000 0.0000
Si: 0.0000 0.5000 0.5000
Si: 0.5000 0.5000 0.0000
Pt: 0.1192 0.3908 0.2287
Pt: 0.1192 0.8905 0.7284
Pt: 0.1672 0.9172 0.2500
Pt: 0.3236 0.5736 0.7500
Pt: 0.3379 0.1095 0.7287
Pt: 0.3379 0.6092 0.2284
Pt: 0.6621 0.3908 0.7716
Pt: 0.6621 0.8905 0.2713
Pt: 0.6764 0.4264 0.2500
Pt: 0.8328 0.0828 0.7500
Pt: 0.8808 0.1095 0.2716
Pt: 0.8808 0.6092 0.7713

Main lines, in order of falling intensity (2θ from 10° to 90°):
d_spacing	intensity
2.417	100
1.933	78
2.347	56
3.220	53
2.680	41
3.866	33
2.655	32
1.952	27
2.085	20
1.897	19
1.209	17
2.583	16


(2)
The following is a theoretical powder diffractogram of Tb2CuSi4Pt3. It was derived from a GGA-PBE-relaxed structure, using Cu Kα (λ = 1.5418 Å).

Crystal structure
abc: 4.1563 4.1563 9.9583
angles: 90.00 90.00 90.00
Sites, in units of the cell vectors:
Tb: 0.0000 0.5000 0.2472
Tb: 0.5000 0.0000 0.7528
Cu: 0.5000 0.5000 0.0000
Si: 0.0000 0.0000 0.5000
Si: 0.0000 0.5000 0.8669
Si: 0.5000 0.0000 0.1331
Si: 0.5000 0.5000 0.5000
Pt: 0.0000 0.0000 0.0000
Pt: 0.0000 0.5000 0.6251
Pt: 0.5000 0.0000 0.3749

Main lines, in order of falling intensity (2θ from 10° to 90°):
d_spacing	intensity
2.594	100
2.531	96
2.078	76
2.819	58
3.191	55
1.622	49
1.796	35
2.939	34
1.359	28
1.469	25
1.271	22
1.741	20


(3)
The following is a theoretical powder diffractogram of Sm3Cu3Pt. It was derived from a GGA-PBE-relaxed structure, using Cu Kα (λ = 1.5418 Å).

Crystal structure
abc: 5.5414 5.5414 14.4314
angles: 90.00 90.00 137.78
Sites, in units of the cell vectors:
Sm: 0.0449 0.9551 0.7500
Sm: 0.3290 0.6710 0.5937
Sm: 0.3290 0.6710 0.9063
Sm: 0.6710 0.3290 0.0937
Sm: 0.6710 0.3290 0.4063
Sm: 0.9551 0.0449 0.2500
Cu: 0.2484 0.7516 0.2500
Cu: 0.3893 0.6107 0.1038
Cu: 0.3893 0.6107 0.3962
Cu: 0.6107 0.3893 0.6038
Cu: 0.6107 0.3893 0.8962
Cu: 0.7516 0.2484 0.7500
Pt: 0.0000 0.0000 0.0000
Pt: 0.0000 0.0000 0.5000

Main lines, in order of falling intensity (2θ from 10° to 90°):
d_spacing	intensity
2.591	100
2.609	78
1.996	30
2.959	30
2.101	26
2.293	25
2.945	21
2.544	17
2.453	16
1.447	16
3.522	16
7.216	15


(4)
The following is a theoretical powder diffractogram of Sm2Cu5Pt5. It was derived from a GGA-PBE-relaxed structure, using Cu Kα (λ = 1.5418 Å).

Crystal structure
abc: 4.3570 5.1261 9.1458
angles: 90.00 90.00 90.00
Sites, in units of the cell vectors:
Sm: 0.0000 0.0000 0.0000
Sm: 0.0000 0.5000 0.5000
Cu: 0.5000 0.0000 0.5000
Cu: 0.5000 0.2496 0.2564
Cu: 0.5000 0.2496 0.7436
Cu: 0.5000 0.7504 0.2564
Cu: 0.5000 0.7504 0.7436
Pt: 0.0000 0.0000 0.3346
Pt: 0.0000 0.0000 0.6654
Pt: 0.0000 0.5000 0.1761
Pt: 0.0000 0.5000 0.8239
Pt: 0.5000 0.5000 0.0000

Main lines, in order of falling intensity (2θ from 10° to 90°):
d_spacing	intensity
2.245	100
2.178	34
2.209	32
2.620	28
1.410	23
2.563	23
4.357	22
4.472	18
1.989	17
1.270	16
1.123	16
1.675	15


(5)
The following is a theoretical powder diffractogram of Sm7Cu2Pt2. It was derived from a GGA-PBE-relaxed structure, using Cu Kα (λ = 1.5418 Å).

Crystal structure
abc: 6.7422 6.7422 7.2670
angles: 90.00 90.00 109.05
Sites, in units of the cell vectors:
Sm: 0.0000 0.0000 0.0000
Sm: 0.0000 0.5000 0.2694
Sm: 0.0000 0.5000 0.7306
Sm: 0.5000 0.0000 0.2694
Sm: 0.5000 0.0000 0.7306
Sm: 0.5000 0.5000 0.2628
Sm: 0.5000 0.5000 0.7372
Cu: 0.1694 0.1694 0.5000
Cu: 0.8306 0.8306 0.5000
Pt: 0.2900 0.7100 0.0000
Pt: 0.7100 0.2900 0.0000

Main lines, in order of falling intensity (2θ from 10° to 90°):
d_spacing	intensity
2.396	100
2.745	53
2.449	48
3.445	42
3.186	33
2.663	28
3.156	28
7.267	24
1.956	22
1.817	22
3.017	19
1.593	19


(6)
The following is a theoretical powder diffractogram of SmCu2Pt6. It was derived from a GGA-PBE-relaxed structure, using Cu Kα (λ = 1.5418 Å).

Crystal structure
abc: 7.9539 7.9539 7.9539
angles: 60.00 60.00 60.00
Sites, in units of the cell vectors:
Sm: 0.1250 0.1250 0.1250
Sm: 0.8750 0.8750 0.8750
Cu: 0.0000 0.5000 0.5000
Cu: 0.5000 0.0000 0.5000
Cu: 0.5000 0.5000 0.0000
Cu: 0.5000 0.5000 0.5000
Pt: 0.1217 0.1217 0.6283
Pt: 0.1217 0.6283 0.1217
Pt: 0.1217 0.6283 0.6283
Pt: 0.3717 0.3717 0.8783
Pt: 0.3717 0.8783 0.3717
Pt: 0.3717 0.8783 0.8783
Pt: 0.6283 0.1217 0.1217
Pt: 0.6283 0.1217 0.6283
Pt: 0.6283 0.6283 0.1217
Pt: 0.8783 0.3717 0.3717
Pt: 0.8783 0.3717 0.8783
Pt: 0.8783 0.8783 0.3717

Main lines, in order of falling intensity (2θ from 10° to 90°):
d_spacing	intensity
1.988	100
2.812	87
1.148	34
1.258	30
1.624	23
3.977	17
1.406	16
3.392	12
2.296	8
2.165	6
1.503	4
1.779	4


(7)
The following is a theoretical powder diffractogram of SmCuSn2Pt4. It was derived from a GGA-PBE-relaxed structure, using Cu Kα (λ = 1.5418 Å).

Crystal structure
abc: 9.1934 9.1934 9.1934
angles: 28.15 28.15 28.15
Sites, in units of the cell vectors:
Sm: 0.0000 0.0000 0.0000
Cu: 0.5000 0.5000 0.5000
Sn: 0.2415 0.2415 0.2415
Sn: 0.7585 0.7585 0.7585
Pt: 0.1361 0.1361 0.1361
Pt: 0.4003 0.4003 0.4003
Pt: 0.5997 0.5997 0.5997
Pt: 0.8639 0.8639 0.8639

Main lines, in order of falling intensity (2θ from 10° to 90°):
d_spacing	intensity
2.235	100
2.515	72
2.044	29
2.705	26
3.125	22
1.671	21
1.338	20
1.291	18
8.824	16
1.385	13
1.250	12
1.118	12


(8)
The following is a theoretical powder diffractogram of CuSn2TePt. It was derived from a GGA-PBE-relaxed structure, using Cu Kα (λ = 1.5418 Å).

Crystal structure
abc: 5.8645 5.8645 4.5856
angles: 90.00 90.00 90.00
Sites, in units of the cell vectors:
Cu: 0.0000 0.0000 0.0000
Sn: 0.0000 0.5000 0.5000
Sn: 0.5000 0.0000 0.5000
Te: 0.0000 0.0000 0.5000
Pt: 0.5000 0.5000 0.0000

Main lines, in order of falling intensity (2θ from 10° to 90°):
d_spacing	intensity
2.932	100
3.076	83
3.612	52
1.806	49
2.073	38
1.719	31
2.277	30
1.538	29
2.293	25
1.138	23
1.311	17
1.235	14


(9)
The following is a theoretical powder diffractogram of SrCu3Pt2. It was derived from a GGA-PBE-relaxed structure, using Cu Kα (λ = 1.5418 Å).

Crystal structure
abc: 6.3781 6.3781 5.4881
angles: 90.00 90.00 81.34
Sites, in units of the cell vectors:
Sr: 0.1829 0.8171 0.7500
Sr: 0.8171 0.1829 0.2500
Cu: 0.0453 0.5733 0.2500
Cu: 0.4267 0.9547 0.2500
Cu: 0.4372 0.5628 0.2500
Cu: 0.5628 0.4372 0.7500
Cu: 0.5733 0.0453 0.7500
Cu: 0.9547 0.4267 0.7500
Pt: 0.2801 0.2801 0.0000
Pt: 0.2801 0.2801 0.5000
Pt: 0.7199 0.7199 0.0000
Pt: 0.7199 0.7199 0.5000

Main lines, in order of falling intensity (2θ from 10° to 90°):
d_spacing	intensity
4.838	100
2.070	98
2.290	93
2.387	63
3.153	55
4.157	43
1.910	42
2.419	39
6.305	37
2.637	31
2.078	31
2.027	28


(10)
The following is a theoretical powder diffractogram of SrThCuPt. It was derived from a GGA-PBE-relaxed structure, using Cu Kα (λ = 1.5418 Å).

Crystal structure
abc: 5.1450 5.1450 5.1450
angles: 60.00 60.00 60.00
Sites, in units of the cell vectors:
Sr: 0.0000 0.0000 0.0000
Th: 0.5000 0.5000 0.5000
Cu: 0.7500 0.7500 0.7500
Pt: 0.2500 0.2500 0.2500

Main lines, in order of falling intensity (2θ from 10° to 90°):
d_spacing	intensity
2.573	100
1.485	37
4.201	23
1.819	18
1.150	16
2.194	13
1.286	12
1.669	6
1.230	4
1.400	4
1.110	2
3.638	1


(11)
The following is a theoretical powder diffractogram of Sr2Zn4CuPt3. It was derived from a GGA-PBE-relaxed structure, using Cu Kα (λ = 1.5418 Å).

Crystal structure
abc: 4.3950 4.3950 10.3925
angles: 90.00 90.00 90.00
Sites, in units of the cell vectors:
Sr: 0.0000 0.5000 0.2455
Sr: 0.5000 0.0000 0.7545
Zn: 0.0000 0.0000 0.5000
Zn: 0.0000 0.5000 0.8784
Zn: 0.5000 0.0000 0.1216
Zn: 0.5000 0.5000 0.5000
Cu: 0.5000 0.5000 0.0000
Pt: 0.0000 0.0000 0.0000
Pt: 0.0000 0.5000 0.6332
Pt: 0.5000 0.0000 0.3668

Main lines, in order of falling intensity (2θ from 10° to 90°):
d_spacing	intensity
2.667	100
2.198	93
2.721	77
1.993	64
4.048	44
1.710	38
3.356	36
1.879	35
1.554	31
1.428	29
1.226	25
2.977	25


(12)
The following is a theoretical powder diffractogram of TaCu3Pt4. It was derived from a GGA-PBE-relaxed structure, using Cu Kα (λ = 1.5418 Å).

Crystal structure
abc: 8.9526 5.6275 4.6418
angles: 90.00 90.00 90.00
Sites, in units of the cell vectors:
Ta: 0.0000 0.0000 0.0000
Ta: 0.5000 0.0000 0.0000
Cu: 0.0000 0.5000 0.0000
Cu: 0.2500 0.0000 0.3766
Cu: 0.2500 0.5000 0.3726
Cu: 0.5000 0.5000 0.0000
Cu: 0.7500 0.0000 0.6234
Cu: 0.7500 0.5000 0.6274
Pt: 0.0000 0.2540 0.5000
Pt: 0.0000 0.7460 0.5000
Pt: 0.2500 0.2565 0.8778
Pt: 0.2500 0.7435 0.8778
Pt: 0.5000 0.2540 0.5000
Pt: 0.5000 0.7460 0.5000
Pt: 0.7500 0.2565 0.1222
Pt: 0.7500 0.7435 0.1222

Main lines, in order of falling intensity (2θ from 10° to 90°):
d_spacing	intensity
2.119	100
2.238	39
2.323	31
1.268	19
2.060	17
2.247	16
3.222	15
1.160	14
1.356	11
1.191	10
1.873	10
1.611	9